# 1
For K2NaYI6, a PBE-relaxed structure gives the computed powder diffraction line list in this record (Cu Ka).
No peak broadening, texture or thermal motion is included.

Cell and atoms:
```
10
Lattice="0.0000 6.1446 6.1446 6.1446 0.0000 6.1446 6.1446 6.1446 0.0000" Properties=species:S:1:pos:R:3 pbc="T T T"
K 3.0723 3.0723 3.0723
K 9.2168 9.2168 9.2168
Na 0.0000 0.0000 0.0000
Y 6.1446 6.1446 6.1446
I 6.1446 6.1446 3.1284
I 6.1446 3.1284 6.1446
I 9.1607 6.1446 6.1446
I 3.1284 6.1446 6.1446
I 6.1446 9.1607 6.1446
I 6.1446 6.1446 9.1607
```

Principal peaks in the range 2θ = 10–90°, sorted by position:
| d/Å | I/Imax |
| --- | --- |
| 6.145 | 43 |
| 3.548 | 100 |
| 3.072 | 90 |
| 2.748 | 24 |
| 2.172 | 66 |
| 1.853 | 46 |
| 1.774 | 23 |
| 1.410 | 18 |
| 1.374 | 29 |
| 1.254 | 21 |



# 2
For K2NdI5, a PBE-relaxed structure gives the computed powder diffraction line list in this record (Cu Ka).
No peak broadening, texture or thermal motion is included.

Cell and atoms:
```
32
Lattice="14.6645 0.0000 0.0000 0.0000 9.8598 0.0000 0.0000 0.0000 9.2809" Properties=species:S:1:pos:R:3 pbc="T T T"
K 2.5169 0.0455 0.4769
K 2.5169 4.8844 0.4769
K 4.8154 4.9754 5.1173
K 4.8154 9.8143 5.1173
K 9.8491 0.0455 4.1636
K 9.8491 4.8844 4.1636
K 12.1476 4.9754 8.8040
K 12.1476 9.8143 8.8040
Nd 0.0764 2.4649 5.3746
Nd 7.2558 7.3948 0.7342
Nd 7.4087 2.4649 8.5467
Nd 14.5881 7.3948 3.9063
I 0.1065 2.4649 8.6073
I 1.1355 5.3691 6.1742
I 1.1355 9.4205 6.1742
I 2.6493 2.4649 3.4493
I 3.0116 7.3948 3.1192
I 4.3207 2.4649 7.7596
I 4.6829 7.3948 8.0897
I 6.1967 0.4392 1.5337
I 6.1967 4.4907 1.5337
I 7.2258 7.3948 3.9669
I 7.4387 2.4649 5.3140
I 8.4677 5.3691 7.7472
I 8.4677 9.4205 7.7472
I 9.9815 2.4649 1.1912
I 10.3438 7.3948 1.5213
I 11.6529 2.4649 6.1617
I 12.0152 7.3948 5.8316
I 13.5290 0.4392 3.1067
I 13.5290 4.4907 3.1067
I 14.5580 7.3948 0.6736
```

Principal peaks in the range 2θ = 10–90°, sorted by position:
| d/Å | I/Imax |
| --- | --- |
| 7.842 | 61 |
| 7.332 | 40 |
| 3.744 | 68 |
| 3.410 | 82 |
| 3.365 | 43 |
| 3.293 | 100 |
| 3.069 | 61 |
| 2.942 | 50 |
| 2.738 | 48 |
| 2.465 | 46 |



# 3
For K3NdI6, a PBE-relaxed structure gives the computed powder diffraction line list in this record (Cu Ka).
No peak broadening, texture or thermal motion is included.

Cell and atoms:
```
10
Lattice="0.0000 6.4659 6.4659 6.4659 0.0000 6.4659 6.4659 6.4659 0.0000" Properties=species:S:1:pos:R:3 pbc="T T T"
K 0.0000 0.0000 0.0000
K 3.2330 3.2330 3.2330
K 9.6989 9.6989 9.6989
Nd 6.4659 6.4659 6.4659
I 6.4659 6.4659 3.3644
I 6.4659 3.3644 6.4659
I 9.5675 6.4659 6.4659
I 3.3644 6.4659 6.4659
I 6.4659 9.5675 6.4659
I 6.4659 6.4659 9.5675
```

Principal peaks in the range 2θ = 10–90°, sorted by position:
| d/Å | I/Imax |
| --- | --- |
| 7.466 | 20 |
| 6.466 | 64 |
| 3.733 | 78 |
| 3.233 | 100 |
| 2.892 | 35 |
| 2.286 | 74 |
| 1.950 | 35 |
| 1.867 | 26 |
| 1.446 | 32 |
| 1.320 | 23 |



# 4
For K3Nd3I10, a PBE-relaxed structure gives the computed powder diffraction line list in this record (Cu Ka).
No peak broadening, texture or thermal motion is included.

Cell and atoms:
```
32
Lattice="9.1030 0.0000 0.0000 0.0000 14.4696 0.0000 -0.5555 0.0000 9.9839" Properties=species:S:1:pos:R:3 pbc="T T T"
K 1.7388 0.0000 2.1790
K 1.9524 4.9421 7.6338
K 2.5011 4.5271 2.5445
K 6.0464 11.7619 7.4393
K 6.5951 12.1769 2.3500
K 6.8087 7.2348 7.8049
Nd 1.2950 10.4700 5.5012
Nd 2.0776 14.0005 6.9597
Nd 2.8173 9.3082 0.3425
Nd 5.7302 2.0735 9.6413
Nd 6.4698 6.7657 3.0241
Nd 7.2524 3.2352 4.4827
I -0.0884 5.8708 4.6556
I -0.1013 10.2589 8.3383
I 0.7423 6.9042 0.5402
I 0.8811 11.0198 2.2565
I 1.2979 2.0936 5.1395
I 2.4589 1.8945 9.4084
I 3.1857 8.4123 7.3375
I 3.4869 8.3210 3.3126
I 3.2114 12.3662 9.5405
I 3.7479 12.3331 4.8775
I 4.7995 5.0983 5.1064
I 5.3360 5.1314 0.4433
I 5.0605 1.0862 6.6713
I 5.3618 1.1775 2.6463
I 6.0885 9.1293 0.5755
I 7.2495 9.3284 4.8443
I 7.6663 3.7850 7.7274
I 7.8052 14.1390 9.4437
I 8.6487 3.0241 1.6455
I 8.6358 13.1055 5.3283
```

Principal peaks in the range 2θ = 10–90°, sorted by position:
| d/Å | I/Imax |
| --- | --- |
| 8.218 | 33 |
| 7.696 | 72 |
| 3.361 | 100 |
| 3.308 | 68 |
| 3.202 | 79 |
| 3.188 | 66 |
| 3.120 | 58 |
| 2.981 | 57 |
| 2.929 | 47 |
| 2.656 | 67 |



# 5
For K2RbNdI6, a PBE-relaxed structure gives the computed powder diffraction line list in this record (Cu Ka).
No peak broadening, texture or thermal motion is included.

Cell and atoms:
```
10
Lattice="0.0000 6.5744 6.5744 6.5744 0.0000 6.5744 6.5744 6.5744 0.0000" Properties=species:S:1:pos:R:3 pbc="T T T"
K 3.2872 3.2872 3.2872
K 9.8616 9.8616 9.8616
Rb 0.0000 0.0000 0.0000
Nd 6.5744 6.5744 6.5744
I 6.5744 6.5744 3.4694
I 6.5744 3.4694 6.5744
I 9.6795 6.5744 6.5744
I 3.4694 6.5744 6.5744
I 6.5744 9.6795 6.5744
I 6.5744 6.5744 9.6795
```

Principal peaks in the range 2θ = 10–90°, sorted by position:
| d/Å | I/Imax |
| --- | --- |
| 6.574 | 75 |
| 3.796 | 62 |
| 3.287 | 100 |
| 2.940 | 40 |
| 2.324 | 74 |
| 2.191 | 22 |
| 1.982 | 26 |
| 1.898 | 26 |
| 1.470 | 31 |
| 1.342 | 22 |



# 6
For K2I2O3, a PBE-relaxed structure gives the computed powder diffraction line list in this record (Cu Ka).
No peak broadening, texture or thermal motion is included.

Cell and atoms:
```
14
Lattice="6.1176 0.0000 0.0000 0.0000 6.0500 0.0000 -5.6272 0.0000 9.4026" Properties=species:S:1:pos:R:3 pbc="T T T"
K 0.0000 1.4379 0.0000
K -2.8136 4.6120 4.7013
K 0.3400 1.5004 4.6945
K -2.4736 4.5496 9.3958
I -2.5815 1.4648 7.1401
I 0.2321 4.5851 2.4388
I 3.1745 1.6339 2.2014
I 0.3609 4.4161 6.9027
O 1.3244 2.8639 2.0225
O -1.4892 3.1860 6.7238
O 4.3339 0.0705 1.9795
O 3.0729 1.5819 4.0810
O 0.2593 4.4681 8.7823
O 1.5203 5.9795 6.6808
```

Principal peaks in the range 2θ = 10–90°, sorted by position:
| d/Å | I/Imax |
| --- | --- |
| 4.701 | 42 |
| 4.299 | 67 |
| 3.232 | 100 |
| 3.116 | 90 |
| 3.055 | 44 |
| 3.025 | 40 |
| 2.351 | 24 |
| 2.149 | 40 |
| 1.856 | 17 |
| 1.817 | 27 |



# 7
For K2IO9, a PBE-relaxed structure gives the computed powder diffraction line list in this record (Cu Ka).
No peak broadening, texture or thermal motion is included.

Cell and atoms:
```
24
Lattice="7.6179 0.0000 0.0000 3.4095 6.8933 0.0000 2.0334 -0.0164 9.0184" Properties=species:S:1:pos:R:3 pbc="T T T"
K 2.7307 1.1838 3.6036
K 4.6021 5.4993 0.3984
K 8.4586 1.3775 8.6200
K 10.3301 5.6931 5.4148
I 4.7276 2.0563 7.6197
I 8.3332 4.8205 1.3988
O 1.7546 0.0031 6.1326
O 3.8316 3.1607 6.5225
O 3.5926 1.3914 8.8528
O 4.3504 3.7682 3.7450
O 6.0972 5.9674 5.6701
O 5.2437 4.4629 3.2505
O 6.7713 5.3103 6.6028
O 6.0729 2.8680 8.5026
O 5.4594 0.6974 6.7023
O 7.6013 6.1795 2.3162
O 6.9878 4.0088 0.5158
O 6.2895 1.5666 2.4156
O 7.8170 2.4139 5.7679
O 6.9636 0.9095 3.3483
O 8.7103 3.1086 5.2735
O 9.4681 5.4855 0.1656
O 9.2291 3.7161 2.4959
O 11.3062 6.8738 2.8858
```

Principal peaks in the range 2θ = 10–90°, sorted by position:
| d/Å | I/Imax |
| --- | --- |
| 5.479 | 79 |
| 4.926 | 48 |
| 4.140 | 59 |
| 3.773 | 100 |
| 3.442 | 44 |
| 3.379 | 32 |
| 3.346 | 54 |
| 3.218 | 44 |
| 3.206 | 58 |
| 3.193 | 47 |



# 8
For KI3O9, a PBE-relaxed structure gives the computed powder diffraction line list in this record (Cu Ka).
No peak broadening, texture or thermal motion is included.

Cell and atoms:
```
26
Lattice="8.1781 0.0000 0.0000 2.7027 7.7802 0.0000 4.0688 2.1462 6.8363" Properties=species:S:1:pos:R:3 pbc="T T T"
K 3.5188 2.2253 1.7512
K 11.4308 7.7011 5.0851
I 5.3809 3.8146 4.9357
I 7.1909 7.4977 4.9593
I 5.3799 5.9256 1.7157
I 9.5697 4.0008 5.1206
I 7.7587 2.4287 1.8770
I 9.5687 6.1118 1.9006
O 6.0718 8.4048 6.1148
O 3.6345 3.5072 4.4004
O 5.2927 5.6222 5.1595
O 6.2509 7.7128 3.3918
O 5.2775 7.4549 0.6531
O 4.6304 4.6865 0.5617
O 8.4290 8.8681 4.6503
O 6.0505 3.8434 3.1892
O 7.8292 4.2246 5.7572
O 7.1204 5.7018 1.0790
O 8.8991 6.0830 3.6471
O 6.5206 1.0583 2.1860
O 10.3192 5.2399 6.2746
O 9.6721 2.4715 6.1832
O 8.6987 2.2136 3.4445
O 9.6569 4.3042 1.6768
O 11.3151 6.4192 2.4359
O 8.8778 1.5216 0.7215
```

Principal peaks in the range 2θ = 10–90°, sorted by position:
| d/Å | I/Imax |
| --- | --- |
| 3.841 | 26 |
| 3.711 | 100 |
| 3.510 | 85 |
| 3.418 | 97 |
| 3.208 | 54 |
| 3.193 | 77 |
| 3.000 | 69 |
| 2.916 | 29 |
| 2.781 | 42 |
| 1.722 | 31 |



# 9
For K2PtI4O2, a PBE-relaxed structure gives the computed powder diffraction line list in this record (Cu Ka).
No peak broadening, texture or thermal motion is included.

Cell and atoms:
```
36
Lattice="7.7500 0.0000 0.0000 -0.1118 11.4702 0.0000 -0.0163 -0.0586 13.8716" Properties=species:S:1:pos:R:3 pbc="T T T"
K 0.0000 0.0000 0.0000
K -0.0640 5.6614 11.6425
K 3.0093 3.0794 4.7316
K 2.9808 8.8382 6.9057
K 3.8628 2.9972 11.6448
K 3.8529 8.7592 0.0497
K 6.7498 5.8150 4.6529
K 6.8665 0.0126 6.9759
Pt 1.4959 1.5126 9.3110
Pt 1.4418 7.2556 2.3515
Pt 5.3052 7.2471 9.3088
Pt 5.3946 1.5519 2.3827
I 0.3524 9.2869 3.6349
I 0.4154 3.5458 8.0366
I 2.5263 5.2270 1.0714
I 2.4789 10.9554 10.5847
I 3.1505 6.5366 4.1952
I 3.2374 0.8202 7.4768
I 3.5952 6.4682 11.1451
I 3.7051 0.7644 0.5275
I 4.2191 5.2440 7.9925
I 4.1916 10.9967 3.6665
I 6.3818 9.2680 10.6000
I 6.4672 3.5648 1.0725
I 7.0884 2.3310 4.2337
I 7.0301 8.0055 7.4714
I 7.4802 2.1982 11.1344
I 7.4693 7.9930 0.5029
O 1.0491 9.6254 5.3649
O 1.1748 3.9190 6.3384
O 1.8069 4.8052 13.2253
O 1.7808 10.6139 12.3199
O 4.9129 4.9341 6.2473
O 4.8599 10.6563 5.4119
O 5.7308 3.8479 13.2240
O 5.6716 9.6135 12.3373
```

Principal peaks in the range 2θ = 10–90°, sorted by position:
| d/Å | I/Imax |
| --- | --- |
| 6.936 | 33 |
| 5.849 | 100 |
| 5.806 | 94 |
| 4.632 | 28 |
| 4.589 | 26 |
| 3.559 | 22 |
| 3.539 | 22 |
| 3.348 | 40 |
| 3.083 | 28 |
| 2.584 | 45 |



# 10
For K2PtI5O2, a PBE-relaxed structure gives the computed powder diffraction line list in this record (Cu Ka).
No peak broadening, texture or thermal motion is included.

Cell and atoms:
```
20
Lattice="6.5888 -4.7609 0.0000 6.5888 4.7609 0.0000 0.0000 0.0000 11.6720" Properties=species:S:1:pos:R:3 pbc="T T T"
K 3.9378 2.5423 5.8360
K 9.2397 2.5423 5.8360
K 3.9378 -2.5423 0.0000
K 9.2397 -2.5423 0.0000
Pt 6.5888 0.0118 9.0269
Pt 6.5888 -0.0118 3.1909
I 6.5888 2.7011 8.9550
I 6.5888 2.6894 3.2566
I 3.9225 0.0026 3.0053
I 3.9225 -0.0026 8.8413
I 6.5888 0.1078 0.2722
I 6.5888 -0.1078 6.1081
I 9.2551 0.0026 3.0053
I 9.2551 -0.0026 8.8413
I 6.5888 -2.6894 9.0926
I 6.5888 -2.7011 3.1190
O 3.2128 0.1690 4.7628
O 3.2128 -0.1690 10.5988
O 9.9648 0.1690 4.7628
O 9.9648 -0.1690 10.5988
```

Principal peaks in the range 2θ = 10–90°, sorted by position:
| d/Å | I/Imax |
| --- | --- |
| 7.718 | 100 |
| 6.589 | 20 |
| 5.836 | 55 |
| 3.294 | 42 |
| 3.219 | 43 |
| 3.086 | 31 |
| 2.918 | 32 |
| 2.729 | 28 |
| 2.120 | 21 |
| 1.916 | 24 |